1.
The following is a calculated XRD peak list of Sr. It was derived from a DFT-relaxed cell (PBE, the Materials Project), using Cu Kα (λ = 1.5418 Å).
No peak broadening, texture or thermal motion is included.

Top 12 peaks for 5 to 70 degrees two-theta, low angle first:
d_spacing, I_rel
3.569, 42
3.479, 35
3.262, 100
2.889, 24
2.223, 11
2.132, 27
1.964, 23
1.818, 33
1.785, 17
1.445, 9
1.369, 14
1.348, 12

```
data_Sr
_cell_length_a 4.2643
_cell_length_b 4.2643
_cell_length_c 13.9143
_cell_angle_alpha 90.00
_cell_angle_beta 90.00
_cell_angle_gamma 120.00
_space_group_name_H-M_alt 'P 63/m m c'
_space_group_IT_number 194
_space_group_name_Hall '-P 6c 2c'
loop_
_atom_site_label
_atom_site_type_symbol
_atom_site_fract_x
_atom_site_fract_y
_atom_site_fract_z
Sr1 Sr 0.0000 0.0000 0.0000
Sr2 Sr 0.3333 0.6667 0.2500
```

2.
The following is a calculated XRD peak list of Ca3Nd2Sb3O14. It was derived from a DFT-relaxed cell (PBE, the Materials Project), using Cu Kα (λ = 1.5418 Å).
No peak broadening, texture or thermal motion is included.

Top 12 peaks for 5 to 70 degrees two-theta, low angle first:
d_spacing, I_rel
5.370, 18
3.797, 10
3.096, 100
3.055, 35
2.685, 13
2.666, 26
1.899, 36
1.884, 20
1.873, 10
1.618, 19
1.612, 10
1.608, 14

```
data_Ca3Nd2Sb3O14
_cell_length_a 13.022
_cell_length_b 7.592
_cell_length_c 7.492
_cell_angle_alpha 90.00
_cell_angle_beta 124.43
_cell_angle_gamma 90.00
_space_group_name_H-M_alt 'C 1 2/m 1'
_space_group_IT_number 12
_space_group_name_Hall '-C 2y'
loop_
_atom_site_label
_atom_site_type_symbol
_atom_site_fract_x
_atom_site_fract_y
_atom_site_fract_z
Ca1 Ca 0.000 0.000 0.000
Ca2 Ca 0.000 0.000 0.500
Ca3 Ca 0.000 0.500 0.000
Nd1 Nd 0.250 0.250 0.500
Sb1 Sb 0.000 0.500 0.500
Sb2 Sb 0.250 0.250 0.000
O1 O 0.097 0.500 0.371
O2 O 0.113 0.298 0.683
O3 O 0.124 0.000 0.380
O4 O 0.140 0.269 0.099
O5 O 0.186 0.000 0.912
```

3.
The following is a calculated XRD peak list of Na3LaZrSiP2O12. It was derived from a DFT-relaxed cell (PBE, the Materials Project), using Cu Kα (λ = 1.5418 Å).
No peak broadening, texture or thermal motion is included.

Top 12 peaks for 5 to 70 degrees two-theta, low angle first:
d_spacing, I_rel
6.679, 15
4.729, 100
4.039, 15
3.352, 20
2.997, 40
2.984, 20
2.733, 41
2.723, 21
2.119, 15
2.020, 19
1.858, 11
1.625, 17

```
data_Na3LaZrSiP2O12
_cell_length_a 16.330
_cell_length_b 9.484
_cell_length_c 9.477
_cell_angle_alpha 90.00
_cell_angle_beta 125.35
_cell_angle_gamma 90.00
_space_group_name_H-M_alt 'C 1 c 1'
_space_group_IT_number 9
_space_group_name_Hall 'C -2yc'
loop_
_atom_site_label
_atom_site_type_symbol
_atom_site_fract_x
_atom_site_fract_y
_atom_site_fract_z
Na1 Na 0.000 0.077 0.000
Na2 Na 0.071 0.280 0.705
Na3 Na 0.325 0.083 0.954
La1 La 0.423 0.245 0.762
Zr1 Zr 0.215 0.259 0.138
Si1 Si 0.467 0.117 0.436
P1 P 0.169 0.077 0.444
P2 P 0.308 0.454 0.950
O1 O 0.061 0.305 0.947
O2 O 0.078 0.120 0.444
O3 O 0.167 0.130 0.282
O4 O 0.172 0.089 0.940
O5 O 0.227 0.361 0.946
O6 O 0.252 0.440 0.291
O7 O 0.267 0.127 0.611
O8 O 0.357 0.172 0.256
O9 O 0.370 0.463 0.618
O10 O 0.380 0.357 0.939
O11 O 0.467 0.184 0.593
O12 O 0.474 0.054 0.955
```

4.
The following is a calculated XRD peak list of AlAs3S5Cl4. It was derived from a DFT-relaxed cell (PBE, the Materials Project), using Cu Kα (λ = 1.5418 Å).
No peak broadening, texture or thermal motion is included.

Top 12 peaks for 5 to 70 degrees two-theta, low angle first:
d_spacing, I_rel
7.653, 71
6.424, 100
5.793, 38
5.369, 85
4.568, 60
3.862, 51
3.551, 37
3.212, 45
2.992, 86
2.810, 37
2.684, 52
2.550, 54

```
data_AlAs3S5Cl4
_cell_length_a 6.628
_cell_length_b 10.193
_cell_length_c 11.954
_cell_angle_alpha 90.00
_cell_angle_beta 104.24
_cell_angle_gamma 90.00
_space_group_name_H-M_alt 'P 1 21/m 1'
_space_group_IT_number 11
_space_group_name_Hall '-P 2yb'
loop_
_atom_site_label
_atom_site_type_symbol
_atom_site_fract_x
_atom_site_fract_y
_atom_site_fract_z
Al1 Al 0.019 0.250 0.220
As1 As 0.448 0.582 0.170
As2 As 0.473 0.750 0.448
S1 S 0.133 0.750 0.332
S2 S 0.184 0.750 0.175
S3 S 0.383 0.250 0.895
S4 S 0.427 0.071 0.638
Cl1 Cl 0.017 0.750 0.606
Cl2 Cl 0.121 0.575 0.872
Cl3 Cl 0.345 0.250 0.222
```

5.
The following is a calculated XRD peak list of Eu2CuRh. It was derived from a DFT-relaxed cell (PBE, the Materials Project), using Cu Kα (λ = 1.5418 Å).
No peak broadening, texture or thermal motion is included.

Top 8 peaks for 5 to 70 degrees two-theta, low angle first:
d_spacing, I_rel
4.125, 1
3.572, 9
2.526, 100
2.154, 1
2.062, 3
1.786, 17
1.598, 4
1.458, 35

```
data_Eu2CuRh
_cell_length_a 7.144
_cell_length_b 7.144
_cell_length_c 7.144
_cell_angle_alpha 90.00
_cell_angle_beta 90.00
_cell_angle_gamma 90.00
_space_group_name_H-M_alt 'F m -3 m'
_space_group_IT_number 225
_space_group_name_Hall '-F 4 2 3'
loop_
_atom_site_label
_atom_site_type_symbol
_atom_site_fract_x
_atom_site_fract_y
_atom_site_fract_z
Eu1 Eu 0.250 0.250 0.250
Cu1 Cu 0.000 0.000 0.000
Rh1 Rh 0.000 0.000 0.500
```

6.
The following is a calculated XRD peak list of Ag2S. It was derived from a DFT-relaxed cell (PBE, the Materials Project), using Cu Kα (λ = 1.5418 Å).
No peak broadening, texture or thermal motion is included.

Top 12 peaks for 5 to 70 degrees two-theta, low angle first:
d_spacing, I_rel
3.131, 69
2.917, 30
2.799, 26
2.744, 100
2.658, 83
2.526, 59
2.405, 97
2.348, 40
2.139, 34
1.850, 31
1.789, 27
1.498, 24

```
data_Ag2S
_cell_length_a 4.361
_cell_length_b 7.402
_cell_length_c 8.150
_cell_angle_alpha 90.00
_cell_angle_beta 110.39
_cell_angle_gamma 90.00
_space_group_name_H-M_alt 'P 1 21/c 1'
_space_group_IT_number 14
_space_group_name_Hall '-P 2ybc'
loop_
_atom_site_label
_atom_site_type_symbol
_atom_site_fract_x
_atom_site_fract_y
_atom_site_fract_z
Ag1 Ag 0.023 0.009 0.294
Ag2 Ag 0.355 0.693 0.557
S1 S 0.240 0.237 0.141
```

7.
The following is a calculated XRD peak list of Sc2Nb3Si4. It was derived from a DFT-relaxed cell (PBE, the Materials Project), using Cu Kα (λ = 1.5418 Å).
No peak broadening, texture or thermal motion is included.

Top 12 peaks for 5 to 70 degrees two-theta, low angle first:
d_spacing, I_rel
6.117, 83
2.518, 84
2.491, 79
2.385, 96
2.369, 72
2.314, 57
2.248, 59
2.229, 71
2.148, 100
2.132, 85
2.076, 52
1.444, 58

```
data_Sc2Nb3Si4
_cell_length_a 6.724
_cell_length_b 13.195
_cell_length_c 6.904
_cell_angle_alpha 90.00
_cell_angle_beta 90.00
_cell_angle_gamma 90.00
_space_group_name_H-M_alt 'P n m a'
_space_group_IT_number 62
_space_group_name_Hall '-P 2ac 2n'
loop_
_atom_site_label
_atom_site_type_symbol
_atom_site_fract_x
_atom_site_fract_y
_atom_site_fract_z
Sc1 Sc 0.001 0.095 0.175
Nb1 Nb 0.160 0.625 0.325
Nb2 Nb 0.165 0.250 0.506
Si1 Si 0.043 0.250 0.887
Si2 Si 0.170 0.039 0.533
Si3 Si 0.202 0.750 0.638
```

8.
The following is a calculated XRD peak list of TmHfF7. It was derived from a DFT-relaxed cell (PBE, the Materials Project), using Cu Kα (λ = 1.5418 Å).
No peak broadening, texture or thermal motion is included.

Top 12 peaks for 5 to 70 degrees two-theta, low angle first:
d_spacing, I_rel
4.062, 100
3.997, 39
3.857, 14
3.425, 19
3.259, 14
3.084, 31
2.966, 11
2.814, 16
2.041, 15
2.030, 17
1.885, 25
1.787, 11

```
data_TmHfF7
_cell_length_a 6.006
_cell_length_b 5.627
_cell_length_c 8.180
_cell_angle_alpha 90.00
_cell_angle_beta 102.22
_cell_angle_gamma 90.00
_space_group_name_H-M_alt 'P 1 21 1'
_space_group_IT_number 4
_space_group_name_Hall 'P 2yb'
loop_
_atom_site_label
_atom_site_type_symbol
_atom_site_fract_x
_atom_site_fract_y
_atom_site_fract_z
Tm1 Tm 0.155 0.000 0.184
Hf1 Hf 0.312 0.990 0.724
F1 F 0.043 0.204 0.713
F2 F 0.047 0.309 0.023
F3 F 0.120 0.694 0.719
F4 F 0.255 0.995 0.475
F5 F 0.361 0.988 0.975
F6 F 0.423 0.270 0.267
F7 F 0.459 0.755 0.260
```

9.
The following is a calculated XRD peak list of RbCr5Se8. It was derived from a DFT-relaxed cell (PBE, the Materials Project), using Cu Kα (λ = 1.5418 Å).
No peak broadening, texture or thermal motion is included.

Top 12 peaks for 5 to 70 degrees two-theta, low angle first:
d_spacing, I_rel
8.844, 25
2.948, 25
2.896, 44
2.865, 100
2.757, 69
2.690, 28
2.427, 20
2.319, 29
2.028, 29
1.852, 30
1.837, 56
1.641, 20

```
data_RbCr5Se8
_cell_length_a 19.052
_cell_length_b 3.703
_cell_length_c 9.156
_cell_angle_alpha 90.00
_cell_angle_beta 105.01
_cell_angle_gamma 90.00
_space_group_name_H-M_alt 'C 1 2/m 1'
_space_group_IT_number 12
_space_group_name_Hall '-C 2y'
loop_
_atom_site_label
_atom_site_type_symbol
_atom_site_fract_x
_atom_site_fract_y
_atom_site_fract_z
Rb1 Rb 0.000 0.000 0.000
Cr1 Cr 0.000 0.500 0.500
Cr2 Cr 0.159 0.000 0.479
Cr3 Cr 0.204 0.000 0.834
Se1 Se 0.075 0.000 0.653
Se2 Se 0.087 0.500 0.330
Se3 Se 0.172 0.500 0.988
Se4 Se 0.239 0.500 0.657
```

10.
The following is a calculated XRD peak list of GdOs2. It was derived from a DFT-relaxed cell (PBE, the Materials Project), using Cu Kα (λ = 1.5418 Å).
No peak broadening, texture or thermal motion is included.

Top 12 peaks for 5 to 70 degrees two-theta, low angle first:
d_spacing, I_rel
4.630, 10
2.673, 22
2.498, 69
2.291, 100
2.240, 97
2.225, 23
2.054, 28
2.005, 15
1.507, 25
1.458, 25
1.411, 37
1.375, 13

```
data_GdOs2
_cell_length_a 5.3460
_cell_length_b 5.3460
_cell_length_c 8.8993
_cell_angle_alpha 90.00
_cell_angle_beta 90.00
_cell_angle_gamma 120.00
_space_group_name_H-M_alt 'P 63/m m c'
_space_group_IT_number 194
_space_group_name_Hall '-P 6c 2c'
loop_
_atom_site_label
_atom_site_type_symbol
_atom_site_fract_x
_atom_site_fract_y
_atom_site_fract_z
Gd1 Gd 0.3333 0.6667 0.0659
Os1 Os 0.0000 0.0000 0.0000
Os2 Os 0.1716 0.3431 0.7500
```